# CrHO2
Theoretical X-ray diffraction stick pattern, Cu Kα (weighted mean of Kα1 and Kα2). Input: DFT lattice parameters and positions (GGA+U).
Neutral-atom scattering factors, no anomalous dispersion.

Cell and atoms:
abc: 3.0408 4.3696 4.9485
angles: 90.00 90.00 90.00
Space group Pmn2_1 (No. 31)
Inequivalent atoms, fractional coordinates:
Cr  0.0000  0.2366  0.0000 [2 per cell]
H  0.0000  0.2909  0.4837 [2 per cell]
O  0.0000  0.0144  0.6440 [2 per cell]
O  0.0000  0.4875  0.3571 [2 per cell]

Main lines, in order of rising 2θ (10 to 90 degrees two-theta):
27.23 deg, 3.275 Å, I = 100.0, (0 1 1); 34.62 deg, 2.591 Å, I = 20.5, (1 0 1); 35.98 deg, 2.496 Å, I = 61.0, (1 1 0); 36.31 deg, 2.474 Å, I = 20.1, (0 0 2); 40.48 deg, 2.228 Å, I = 16.9, (1 1 1); 52.05 deg, 1.757 Å, I = 33.1, (1 1 2); 54.98 deg, 1.670 Å, I = 46.7, (1 2 1); 56.16 deg, 1.638 Å, I = 16.1, (0 2 2); 64.24 deg, 1.450 Å, I = 17.1, (1 0 3); 67.98 deg, 1.379 Å, I = 12.3, (2 1 1)